The following is a simulated powder diffractogram of Cs3Np3PbSe8. It was derived from the GGA-PBE geometry in Alexandria, using Cu Kα X-rays.

Peak list (8 most intense, 10 to 90 degrees two-theta, sorted by position)
2θ = 10.57°, I = 51
2θ = 24.94°, I = 18
2θ = 27.85°, I = 100
2θ = 34.72°, I = 18
2θ = 37.46°, I = 34
2θ = 42.02°, I = 36
2θ = 43.45°, I = 23
2θ = 51.16°, I = 18

```
Cs3Np3PbSe8
1.0
8.5947 0.0000 0.0000
4.2930 7.4555 0.0000
4.2908 2.4830 8.3721
Cs Np Pb Se
3 3 1 8
direct
0.0000 0.0000 0.0000
0.0000 0.5000 0.0000
0.5000 0.0000 0.0000
0.0000 0.5000 0.5000
0.5000 0.0000 0.5000
0.5000 0.5000 0.5000
0.0000 0.0000 0.5000
0.2396 0.2408 0.3153
0.2397 0.7041 0.3153
0.2727 0.2721 0.6831
0.2958 0.7597 0.6849
0.7042 0.2403 0.3151
0.7273 0.7279 0.3169
0.7603 0.2959 0.6847
0.7604 0.7592 0.6847
```


The following is a simulated powder diffractogram of Cs2Np3PbSe8. It was derived from the GGA-PBE geometry in Alexandria, using Cu Kα X-rays.

Peak list (8 most intense, 10 to 90 degrees two-theta, sorted by position)
2θ = 10.10°, I = 100
2θ = 20.78°, I = 45
2θ = 23.31°, I = 63
2θ = 24.49°, I = 44
2θ = 27.84°, I = 71
2θ = 34.16°, I = 59
2θ = 36.68°, I = 75
2θ = 42.67°, I = 68

```
Cs2Np3PbSe8
1.0
4.2382 2.4469 8.7616
-4.2382 2.4469 8.7616
0.0000 -4.8939 8.7616
Cs Np Pb Se
2 3 1 8
direct
0.0000 0.0000 0.0000
0.3567 0.3567 0.3567
0.3577 0.3577 0.8639
0.3577 0.8639 0.3577
0.8639 0.3577 0.3577
0.7558 0.7558 0.7558
0.0957 0.0957 0.5547
0.0957 0.5547 0.0957
0.1347 0.1347 0.1347
0.1504 0.6240 0.6240
0.5547 0.0957 0.0957
0.5816 0.5816 0.5816
0.6240 0.1504 0.6240
0.6240 0.6240 0.1504
```


The following is a simulated powder diffractogram of CsPr2NpS5. It was derived from the GGA-PBE geometry in Alexandria, using Cu Kα X-rays.

Peak list (8 most intense, 10 to 90 degrees two-theta, sorted by position)
2θ = 13.56°, I = 30
2θ = 24.17°, I = 25
2θ = 24.78°, I = 100
2θ = 35.25°, I = 25
2θ = 35.41°, I = 21
2θ = 35.68°, I = 19
2θ = 42.89°, I = 26
2θ = 50.82°, I = 17

```
CsPr2NpS5
1.0
-2.5349 3.6826 7.0497
2.5349 -3.6826 7.0497
2.5349 3.6826 -7.0497
Cs Pr Np S
1 2 1 5
direct
0.0000 0.0000 0.0000
0.2925 0.7925 0.5000
0.7075 0.2075 0.5000
0.5000 0.5000 0.0000
0.1170 0.3467 0.7703
0.4236 0.6533 0.7703
0.5000 0.0000 0.5000
0.5764 0.3467 0.2297
0.8830 0.6533 0.2297
```


The following is a simulated powder diffractogram of Cs4Pr3NpTe8. It was derived from the GGA-PBE geometry in Alexandria, using Cu Kα X-rays.

Peak list (8 most intense, 10 to 90 degrees two-theta, sorted by position)
2θ = 25.62°, I = 100
2θ = 34.62°, I = 11
2θ = 34.69°, I = 22
2θ = 38.34°, I = 38
2θ = 40.30°, I = 9
2θ = 46.68°, I = 20
2θ = 52.64°, I = 10
2θ = 61.93°, I = 17

```
Cs4Pr3NpTe8
1.0
8.1387 -4.6929 0.0000
8.1387 4.6929 0.0000
-5.4429 0.0000 8.9444
Cs Pr Np Te
4 3 1 8
direct
0.0000 0.0000 0.0000
0.0000 0.5000 0.0000
0.5000 0.0000 0.0000
0.5000 0.5000 0.0000
0.0000 0.0000 0.5000
0.0000 0.5000 0.5000
0.5000 0.0000 0.5000
0.5000 0.5000 0.5000
0.2323 0.2323 0.6970
0.2356 0.7291 0.6942
0.2707 0.2707 0.3061
0.2709 0.7644 0.3058
0.7291 0.2356 0.6942
0.7293 0.7293 0.6939
0.7644 0.2709 0.3058
0.7677 0.7677 0.3030
```


The following is a simulated powder diffractogram of Cs4PuNp3S8. It was derived from the GGA-PBE geometry in Alexandria, using Cu Kα X-rays.

Peak list (8 most intense, 10 to 90 degrees two-theta, sorted by position)
2θ = 11.00°, I = 43
2θ = 22.10°, I = 55
2θ = 25.62°, I = 33
2θ = 25.72°, I = 66
2θ = 28.67°, I = 51
2θ = 28.80°, I = 100
2θ = 38.86°, I = 58
2θ = 43.21°, I = 35

```
Cs4PuNp3S8
1.0
7.2655 -4.1668 0.0000
7.2655 4.1668 0.0000
-4.8340 0.0000 8.0430
Cs Pu Np S
4 1 3 8
direct
0.0000 0.0000 0.0000
0.0000 0.5000 0.0000
0.5000 0.0000 0.0000
0.5000 0.5000 0.0000
0.0000 0.0000 0.5000
0.0000 0.5000 0.5000
0.5000 0.0000 0.5000
0.5000 0.5000 0.5000
0.2294 0.2294 0.6803
0.2301 0.7247 0.6803
0.2723 0.2723 0.3193
0.2753 0.7699 0.3197
0.7247 0.2301 0.6803
0.7277 0.7277 0.6807
0.7699 0.2753 0.3197
0.7706 0.7706 0.3197
```


The following is a simulated powder diffractogram of Cs3Pu3NpTe8. It was derived from the GGA-PBE geometry in Alexandria, using Cu Kα X-rays.

Peak list (8 most intense, 10 to 90 degrees two-theta, sorted by position)
2θ = 26.18°, I = 100
2θ = 32.43°, I = 22
2θ = 34.94°, I = 32
2θ = 39.66°, I = 38
2θ = 40.95°, I = 11
2θ = 43.32°, I = 13
2θ = 48.15°, I = 19
2θ = 64.08°, I = 16

```
Cs3Pu3NpTe8
1.0
7.8738 -4.5443 0.0000
7.8738 4.5443 0.0000
-5.2652 0.0000 9.0357
Cs Pu Np Te
3 3 1 8
direct
0.0000 0.0000 0.0000
0.0000 0.5000 0.0000
0.5000 0.0000 0.0000
0.0000 0.5000 0.5000
0.5000 0.0000 0.5000
0.5000 0.5000 0.5000
0.0000 0.0000 0.5000
0.2274 0.2274 0.6858
0.2273 0.7318 0.6857
0.2682 0.7727 0.3143
0.2703 0.2703 0.3115
0.7297 0.7297 0.6885
0.7318 0.2273 0.6857
0.7727 0.2682 0.3143
0.7726 0.7726 0.3142
```


The following is a simulated powder diffractogram of Cs3RbNp2Se6. It was derived from the GGA-PBE geometry in Alexandria, using Cu Kα X-rays.

Peak list (8 most intense, 10 to 90 degrees two-theta, sorted by position)
2θ = 10.73°, I = 26
2θ = 24.29°, I = 18
2θ = 26.72°, I = 41
2θ = 27.13°, I = 100
2θ = 36.16°, I = 17
2θ = 37.52°, I = 29
2θ = 39.35°, I = 27
2θ = 41.18°, I = 20

```
Cs3RbNp2Se6
1.0
10.5039 -2.1918 0.0000
10.5039 2.1918 0.0000
-3.0184 0.0000 9.4921
Cs Rb Np Se
3 1 2 6
direct
0.0000 0.0000 0.0000
0.3462 0.3462 0.6642
0.6538 0.6538 0.3358
0.0000 0.0000 0.5000
0.3267 0.3267 0.1600
0.6733 0.6733 0.8400
0.1761 0.1761 0.6536
0.1826 0.1826 0.0418
0.4610 0.4610 0.2320
0.5390 0.5390 0.7680
0.8174 0.8174 0.9582
0.8239 0.8239 0.3464
```


The following is a simulated powder diffractogram of Cs2RbNp3Se8. It was derived from the GGA-PBE geometry in Alexandria, using Cu Kα X-rays.

Peak list (8 most intense, 10 to 90 degrees two-theta, sorted by position)
2θ = 10.33°, I = 100
2θ = 12.44°, I = 35
2θ = 23.25°, I = 64
2θ = 24.29°, I = 35
2θ = 27.81°, I = 85
2θ = 34.40°, I = 71
2θ = 37.05°, I = 46
2θ = 42.27°, I = 62

```
Cs2RbNp3Se8
1.0
4.2757 2.4686 8.5651
-4.2757 2.4686 8.5651
0.0000 -4.9371 8.5651
Cs Rb Np Se
2 1 3 8
direct
0.0000 0.0000 0.0000
0.3617 0.3617 0.3617
0.6338 0.6338 0.6338
0.5007 0.9995 0.9995
0.9995 0.5007 0.9995
0.9995 0.9995 0.5007
0.1931 0.7393 0.7393
0.2243 0.2243 0.2243
0.2603 0.2603 0.8095
0.2603 0.8095 0.2603
0.7393 0.1931 0.7393
0.7393 0.7393 0.1931
0.7733 0.7733 0.7733
0.8095 0.2603 0.2603
```


The following is a simulated powder diffractogram of Cs2RbNpSe6. It was derived from the GGA-PBE geometry in Alexandria, using Cu Kα X-rays.

Peak list (8 most intense, 10 to 90 degrees two-theta, sorted by position)
2θ = 12.89°, I = 50
2θ = 21.13°, I = 89
2θ = 25.96°, I = 29
2θ = 30.06°, I = 100
2θ = 37.04°, I = 35
2θ = 43.03°, I = 68
2θ = 48.41°, I = 28
2θ = 58.05°, I = 28

```
Cs2RbNpSe6
1.0
0.0000 5.9455 5.9455
5.9455 0.0000 5.9455
5.9455 5.9455 0.0000
Cs Rb Np Se
2 1 1 6
direct
0.2500 0.2500 0.2500
0.7500 0.7500 0.7500
0.0000 0.0000 0.0000
0.5000 0.5000 0.5000
0.2799 0.2799 0.7201
0.2799 0.7201 0.2799
0.2799 0.7201 0.7201
0.7201 0.2799 0.2799
0.7201 0.2799 0.7201
0.7201 0.7201 0.2799
```


The following is a simulated powder diffractogram of Cs2Np2RhSe6. It was derived from the GGA-PBE geometry in Alexandria, using Cu Kα X-rays.

Peak list (8 most intense, 10 to 90 degrees two-theta, sorted by position)
2θ = 10.25°, I = 100
2θ = 20.58°, I = 22
2θ = 28.81°, I = 50
2θ = 29.42°, I = 100
2θ = 35.70°, I = 20
2θ = 38.03°, I = 52
2θ = 45.01°, I = 35
2θ = 46.64°, I = 17

```
Cs2Np2RhSe6
1.0
3.5090 -5.9375 0.0000
3.5090 5.9375 0.0000
-2.4329 0.0000 8.6298
Cs Np Rh Se
2 2 1 6
direct
0.1721 0.8279 0.0000
0.8279 0.1721 0.0000
0.3314 0.6686 0.5000
0.6686 0.3314 0.5000
0.0000 0.0000 0.5000
0.0669 0.3726 0.6786
0.2456 0.2456 0.3250
0.3726 0.0669 0.6786
0.6274 0.9331 0.3214
0.7544 0.7544 0.6750
0.9331 0.6274 0.3214
```


The following is a simulated powder diffractogram of Cs2NpS4. It was derived from the GGA-PBE geometry in Alexandria, using Cu Kα X-rays.

Peak list (8 most intense, 10 to 90 degrees two-theta, sorted by position)
2θ = 10.08°, I = 41
2θ = 22.84°, I = 100
2θ = 24.13°, I = 62
2θ = 30.57°, I = 20
2θ = 34.38°, I = 40
2θ = 39.31°, I = 23
2θ = 41.68°, I = 43
2θ = 46.68°, I = 34

```
Cs2NpS4
1.0
5.2170 0.0000 0.0000
0.0000 5.2170 0.0000
0.0000 0.0000 17.5488
Cs Np S
4 2 8
direct
0.0000 0.0000 0.1486
0.0000 0.0000 0.8514
0.5000 0.5000 0.3514
0.5000 0.5000 0.6486
0.0000 0.0000 0.5000
0.5000 0.5000 0.0000
0.0000 0.0000 0.3601
0.0000 0.0000 0.6399
0.0000 0.5000 0.0000
0.0000 0.5000 0.5000
0.5000 0.0000 0.0000
0.5000 0.0000 0.5000
0.5000 0.5000 0.1399
0.5000 0.5000 0.8601
```


The following is a simulated powder diffractogram of Cs2NpS4. It was derived from the GGA-PBE geometry in Alexandria, using Cu Kα X-rays.

Peak list (8 most intense, 10 to 90 degrees two-theta, sorted by position)
2θ = 12.19°, I = 63
2θ = 20.69°, I = 44
2θ = 22.17°, I = 100
2θ = 24.71°, I = 93
2θ = 25.13°, I = 32
2θ = 30.67°, I = 27
2θ = 32.77°, I = 52
2θ = 41.04°, I = 35

```
Cs2NpS4
1.0
8.5853 0.0000 0.0000
0.0000 13.6028 0.0000
0.0000 0.0000 4.1511
Cs Np S
4 2 8
direct
0.0635 0.1729 0.0000
0.4365 0.6729 0.0000
0.5635 0.3271 0.0000
0.9365 0.8271 0.0000
0.0000 0.5000 0.5000
0.5000 0.0000 0.5000
0.1194 0.6622 0.5000
0.1749 0.4498 0.0000
0.3251 0.9498 0.0000
0.3806 0.1622 0.5000
0.6194 0.8378 0.5000
0.6749 0.0502 0.0000
0.8251 0.5502 0.0000
0.8806 0.3378 0.5000
```


The following is a simulated powder diffractogram of CsNpSeS. It was derived from the GGA-PBE geometry in Alexandria, using Cu Kα X-rays.

Peak list (8 most intense, 10 to 90 degrees two-theta, sorted by position)
2θ = 10.63°, I = 46
2θ = 21.36°, I = 36
2θ = 24.69°, I = 48
2θ = 25.46°, I = 58
2θ = 30.37°, I = 100
2θ = 35.22°, I = 49
2θ = 42.99°, I = 50
2θ = 48.49°, I = 26

```
CsNpSeS
1.0
4.2080 0.0000 0.0000
-2.1040 3.6443 0.0000
0.0000 0.0000 24.9575
Cs Np Se S
3 3 3 3
direct
0.0000 0.0000 0.0000
0.3333 0.6667 0.6667
0.6667 0.3333 0.3333
0.0000 0.0000 0.1639
0.3333 0.6667 0.8306
0.6667 0.3333 0.4972
0.0000 0.0000 0.5627
0.3333 0.6667 0.2293
0.6667 0.3333 0.8960
0.0000 0.0000 0.7745
0.3333 0.6667 0.4412
0.6667 0.3333 0.1078
```